No. 1
# Ac2La3Mg
Simulated PXRD pattern, Cu Kα. Input: the GGA-PBE geometry in Alexandria.
Lines closer than 0.1° are merged.

Largest 10 diffraction maxima, in order of falling intensity, 5 to 70 degrees two-theta:
two_theta, I_rel, index
29.14, 100, 1 3 1
33.93, 34, 2 0 0
57.80, 29, 3 3 1
48.40, 25, 2 0 2
33.47, 17, 0 0 2
57.19, 15, 1 3 3
60.42, 13, 2 6 2
48.74, 12, 2 6 0
24.32, 8, 1 1 1
11.16, 8, 0 2 0

Structural model:
Lattice parameters (Å, degrees): 5.2833 15.8569 5.3552 90.00 90.00 90.00
Space group Cmmm (No. 65)
Unique sites:
Ac  0.0000  0.1643  0.0000 [4 per cell]
La  0.0000  0.0000  0.5000 [2 per cell]
La  0.0000  0.3368  0.5000 [4 per cell]
Mg  0.0000  0.5000  0.0000 [2 per cell]

No. 2
# YTmGe2
Simulated PXRD pattern, Cu Kα. Input: the GGA-PBE geometry in Alexandria.
Lines closer than 0.1° are merged.

Largest 10 diffraction maxima, in order of falling intensity, 5 to 70 degrees two-theta:
two_theta, I_rel, index
32.07, 100, 1 0 2
35.76, 95, 1 1 2
40.45, 92, 1 2 1
33.15, 89, 0 2 1
29.69, 71, 1 1 1
37.58, 52, 0 1 3
46.00, 42, 2 0 0
57.86, 36, 2 2 1
48.79, 35, 0 1 4
60.84, 29, 2 1 3

Structural model:
Lattice parameters (Å, degrees): 3.9464 5.7525 7.8950 90.00 90.00 90.00
Space group Pmc2_1 (No. 26)
Unique sites:
Y  0.0000  0.1310  0.0000 [2 per cell]
Tm  0.5000  0.3696  0.6382 [2 per cell]
Ge  0.0000  0.3961  0.3609 [2 per cell]
Ge  0.5000  0.1042  0.2777 [2 per cell]